(1)
Theoretical XRD peak list
Compound: Ba2Sr13
Radiation: Cu Kα (λ = 1.5418 Å)
Structure: a DFT-relaxed cell (GGA-PBE, Alexandria)
Neutral-atom scattering factors, no anomalous dispersion.

Crystal structure
```
data_Ba2Sr13
_chemical_formula_sum 'Ba2 Sr13'
_cell_length_a 7.948
_cell_length_b 10.653
_cell_length_c 10.682
_cell_angle_alpha 66.54
_cell_angle_beta 82.17
_cell_angle_gamma 81.96
_space_group_name_H-M_alt 'P -1'
_space_group_IT_number 2
loop_
_space_group_symop_operation_xyz
'x,y,z'
'-x,-y,-z'
loop_
_atom_site_label
_atom_site_fract_x
_atom_site_fract_y
_atom_site_fract_z
Ba1 0.067 0.399 0.234
Sr1 0.000 0.000 0.500
Sr2 0.133 0.803 0.967
Sr3 0.200 0.200 0.699
Sr4 0.269 0.601 0.433
Sr5 0.334 0.000 0.167
Sr6 0.404 0.399 0.899
Sr7 0.463 0.801 0.633
```

Most intense lines, 2θ from 5° to 70°, in order of rising 2θ:
| hkl | 2θ (°) | I (rel.) |
| --- | --- | --- |
| 2 1 2 | 26.3 | 100.0 |
| 1 3 1 | 26.4 | 99.2 |
| 3 2 0 | 37.5 | 13.1 |
| 4 0 1 | 46.5 | 48.9 |
| 0 3 -3 | 46.6 | 20.8 |
| 1 5 4 | 46.7 | 13.8 |



(2)
Theoretical XRD peak list
Compound: TbNd5Tm3
Radiation: Cu Kα (λ = 1.5418 Å)
Structure: a DFT-relaxed cell (GGA-PBE, Alexandria)
Neutral-atom scattering factors, no anomalous dispersion.

Crystal structure
```
data_TbNd5Tm3
_chemical_formula_sum 'Tb4 Nd20 Tm12'
_cell_length_a 16.526
_cell_length_b 6.744
_cell_length_c 11.617
_cell_angle_alpha 90.00
_cell_angle_beta 110.60
_cell_angle_gamma 90.00
_space_group_name_H-M_alt 'C 1 2/c 1'
_space_group_IT_number 15
loop_
_space_group_symop_operation_xyz
'x,y,z'
'-x,-y,-z'
'-x,y,-z+1/2'
'x,-y,z+1/2'
'x+1/2,y+1/2,z'
'-x+1/2,-y+1/2,-z'
'-x+1/2,y+1/2,-z+1/2'
'x+1/2,-y+1/2,z+1/2'
loop_
_atom_site_label
_atom_site_fract_x
_atom_site_fract_y
_atom_site_fract_z
Tb1 0.000 0.244 0.250
Nd1 0.000 0.309 0.750
Nd2 0.112 0.495 0.053
Nd3 0.170 0.081 0.840
Tm1 0.000 0.000 0.000
Tm2 0.239 0.407 0.375
```

Most intense lines, 2θ from 5° to 70°, in order of rising 2θ:
| hkl | 2θ (°) | I (rel.) |
| --- | --- | --- |
| 2 0 -4 | 30.8 | 100.0 |
| 0 2 2 | 31.2 | 38.2 |
| 6 0 -2 | 32.8 | 16.5 |
| 4 2 -2 | 35.4 | 14.9 |
| 4 2 -3 | 38.3 | 8.3 |
| 7 1 -6 | 54.7 | 12.1 |



(3)
Theoretical XRD peak list
Compound: SrCdH6Ir2
Radiation: Cu Kα (λ = 1.5418 Å)
Structure: a DFT-relaxed cell (GGA-PBE, Alexandria)
Neutral-atom scattering factors, no anomalous dispersion.

Crystal structure
```
data_SrCdH6Ir2
_chemical_formula_sum 'Sr3 Cd3 H18 Ir6'
_cell_length_a 4.7613
_cell_length_b 4.7613
_cell_length_c 16.7539
_cell_angle_alpha 90.00
_cell_angle_beta 90.00
_cell_angle_gamma 120.00
_space_group_name_H-M_alt 'R -3 m'
_space_group_IT_number 166
_space_group_name_Hall '-R 3 2"'
loop_
_atom_site_label
_atom_site_fract_x
_atom_site_fract_y
_atom_site_fract_z
Sr1 0.0000 0.0000 0.0000
Cd1 0.0000 0.0000 0.5000
H1 0.0419 0.5209 0.9380
Ir1 0.0000 0.0000 0.2058
```

Most intense lines, 2θ from 5° to 70°, in order of rising 2θ:
| hkl | 2θ (°) | I (rel.) |
| --- | --- | --- |
| 0 0 3 | 15.9 | 75.7 |
| 1 0 4 | 30.4 | 74.2 |
| 0 1 5 | 34.5 | 45.4 |
| 1 1 0 | 37.8 | 100.0 |
| 1 1 3 | 41.2 | 44.3 |
| 1 0 7 | 43.7 | 28.1 |